No. 1
Structure and theoretical powder X-ray diffraction pattern of CaC2 (a DFT-relaxed cell (PBE, the Materials Project); copper Kα).
Intensities are scaled so that the largest is 100.

Principal peaks in the range 10 to 80 degrees two-theta, sorted by position:
d (Å), 2θ/deg, Rel. int., index
4.300, 20.7, 51, 1 1 0
3.511, 25.4, 100, 1 1 1
3.040, 29.4, 37, 2 0 0
2.150, 42.0, 49, 2 2 0
1.833, 49.7, 63, 3 1 1
1.755, 52.1, 13, 2 2 2
1.395, 67.1, 11, 3 3 1
1.360, 69.1, 21, 4 2 0

Atomic structure:
```
data_CaC2
_space_group_name_H-M_alt 'P n -3 m'
_space_group_IT_number 224
_cell_length_a 6.081
_cell_length_b 6.081
_cell_length_c 6.081
_cell_angle_alpha 90.00
_cell_angle_beta 90.00
_cell_angle_gamma 90.00
loop_
_space_group_symop_operation_xyz
'x,y,z'
'-x,-y,-z'
'-y,x+1/2,z+1/2'
'y,-x+1/2,-z+1/2'
'-x+1/2,-y+1/2,z'
'x+1/2,y+1/2,-z'
'y+1/2,-x,z+1/2'
'-y+1/2,x,-z+1/2'
'x,-y+1/2,-z+1/2'
'-x,y+1/2,z+1/2'
'-y,-x,-z'
'y,x,z'
'-x+1/2,y,-z+1/2'
'x+1/2,-y,z+1/2'
'y+1/2,x+1/2,-z'
'-y+1/2,-x+1/2,z'
'z,x,y'
'-z,-x,-y'
'z+1/2,-y,x+1/2'
'-z+1/2,y,-x+1/2'
'z,-x+1/2,-y+1/2'
'-z,x+1/2,y+1/2'
'z+1/2,y+1/2,-x'
'-z+1/2,-y+1/2,x'
'-z+1/2,x,-y+1/2'
'z+1/2,-x,y+1/2'
'-z,-y,-x'
'z,y,x'
'-z+1/2,-x+1/2,y'
'z+1/2,x+1/2,-y'
'-z,y+1/2,x+1/2'
'z,-y+1/2,-x+1/2'
'y,z,x'
'-y,-z,-x'
'x+1/2,z+1/2,-y'
'-x+1/2,-z+1/2,y'
'-y+1/2,z,-x+1/2'
'y+1/2,-z,x+1/2'
'-x,z+1/2,y+1/2'
'x,-z+1/2,-y+1/2'
'-y+1/2,-z+1/2,x'
'y+1/2,z+1/2,-x'
'-x,-z,-y'
'x,z,y'
'y,-z+1/2,-x+1/2'
'-y,z+1/2,x+1/2'
'x+1/2,-z,y+1/2'
'-x+1/2,z,-y+1/2'
loop_
_atom_site_label
_atom_site_type_symbol
_atom_site_fract_x
_atom_site_fract_y
_atom_site_fract_z
Ca1 Ca 0.000 0.000 0.000
C1 C 0.159 0.159 0.341
```

=====

No. 2
Structure and theoretical powder X-ray diffraction pattern of CaC2 (a DFT-relaxed cell (PBE, the Materials Project); copper Kα).
Intensities are scaled so that the largest is 100.

Principal peaks in the range 10 to 80 degrees two-theta, sorted by position:
d (Å), 2θ/deg, Rel. int., index
3.532, 25.2, 33, 1 1 0
3.253, 27.4, 17, 0 1 1
2.952, 30.3, 49, 0 2 0
2.920, 30.6, 100, 1 0 1
2.076, 43.6, 55, 1 2 1
1.949, 46.6, 15, 0 0 2
1.824, 50.0, 20, 2 1 1
1.626, 56.6, 13, 0 2 2

Atomic structure:
```
data_CaC2
_space_group_name_H-M_alt 'P n n m'
_space_group_IT_number 58
_cell_length_a 4.407
_cell_length_b 5.904
_cell_length_c 3.897
_cell_angle_alpha 90.00
_cell_angle_beta 90.00
_cell_angle_gamma 90.00
loop_
_space_group_symop_operation_xyz
'x,y,z'
'-x,-y,-z'
'-x,-y,z'
'x,y,-z'
'x+1/2,-y+1/2,-z+1/2'
'-x+1/2,y+1/2,z+1/2'
'-x+1/2,y+1/2,-z+1/2'
'x+1/2,-y+1/2,z+1/2'
loop_
_atom_site_label
_atom_site_type_symbol
_atom_site_fract_x
_atom_site_fract_y
_atom_site_fract_z
Ca1 Ca 0.000 0.000 0.000
C1 C 0.113 0.436 0.000
```

=====

No. 3
Structure and theoretical powder X-ray diffraction pattern of CaC2 (a DFT-relaxed cell (PBE, the Materials Project); copper Kα).
Intensities are scaled so that the largest is 100.

Principal peaks in the range 10 to 80 degrees two-theta, sorted by position:
d (Å), 2θ/deg, Rel. int., index
3.252, 27.4, 60, 0 2 0
2.482, 36.2, 64, 1 1 0
2.438, 36.9, 95, 0 2 2
2.297, 39.2, 64, 0 1 3
2.058, 44.0, 100, 1 1 2
1.993, 45.5, 25, 1 2 1
1.687, 54.4, 27, 1 3 0
1.534, 60.4, 23, 1 3 2

Atomic structure:
```
data_CaC2
_space_group_name_H-M_alt 'I m m m'
_space_group_IT_number 71
_space_group_name_Hall '-I 2 2'
_cell_length_a 2.685
_cell_length_b 6.505
_cell_length_c 7.367
_cell_angle_alpha 90.00
_cell_angle_beta 90.00
_cell_angle_gamma 90.00
loop_
_atom_site_label
_atom_site_type_symbol
_atom_site_fract_x
_atom_site_fract_y
_atom_site_fract_z
Ca1 Ca 0.000 0.000 0.206
C1 C 0.000 0.232 0.500
C2 C 0.000 0.388 0.000
```

=====

No. 4
Structure and theoretical powder X-ray diffraction pattern of CaC2 (a DFT-relaxed cell (PBE, the Materials Project); copper Kα).
Intensities are scaled so that the largest is 100.

Principal peaks in the range 10 to 80 degrees two-theta, sorted by position:
d (Å), 2θ/deg, Rel. int., index
3.954, 22.5, 18, 0 0 3
3.240, 27.5, 16, 1 0 1
2.929, 30.5, 100, 0 1 2
2.226, 40.5, 27, 1 0 4
1.944, 46.7, 29, 1 1 0
1.939, 46.8, 15, 0 1 5
1.745, 52.4, 11, 1 1 3
1.620, 56.8, 13, 2 0 2

Atomic structure:
```
data_CaC2
_space_group_name_H-M_alt 'R -3 m'
_space_group_IT_number 166
_space_group_name_Hall '-R 3 2"'
_cell_length_a 3.8888
_cell_length_b 3.8888
_cell_length_c 11.8616
_cell_angle_alpha 90.00
_cell_angle_beta 90.00
_cell_angle_gamma 120.00
loop_
_atom_site_label
_atom_site_type_symbol
_atom_site_fract_x
_atom_site_fract_y
_atom_site_fract_z
Ca1 Ca 0.0000 0.0000 0.0000
C1 C 0.0000 0.0000 0.4471
```

=====

No. 5
Structure and theoretical powder X-ray diffraction pattern of CaCeC4 (a DFT-relaxed cell (PBE, the Materials Project); copper Kα).
Intensities are scaled so that the largest is 100.

Principal peaks in the range 10 to 80 degrees two-theta, sorted by position:
d (Å), 2θ/deg, Rel. int., index
5.408, 16.4, 36, 0 0 1
4.085, 21.8, 38, 1 1 0
3.260, 27.4, 100, 1 1 1
3.169, 28.2, 42, 0 2 0
2.704, 33.1, 37, 0 0 2
2.672, 33.5, 36, 2 0 0
1.900, 47.9, 24, 2 0 2
1.846, 49.4, 35, 1 3 1

Atomic structure:
```
data_CaCeC4
_space_group_name_H-M_alt 'C m m m'
_space_group_IT_number 65
_space_group_name_Hall '-C 2 2'
_cell_length_a 5.344
_cell_length_b 6.337
_cell_length_c 5.408
_cell_angle_alpha 90.00
_cell_angle_beta 90.00
_cell_angle_gamma 90.00
loop_
_atom_site_label
_atom_site_type_symbol
_atom_site_fract_x
_atom_site_fract_y
_atom_site_fract_z
Ca1 Ca 0.000 0.000 0.000
Ce1 Ce 0.000 0.500 0.500
C1 C 0.000 0.103 0.500
C2 C 0.000 0.399 0.000
```